[1]
The following is a computed PXRD pattern of Ho4Er9Pu. It was derived from DFT lattice parameters and positions (GGA-PBE), using λ = 1.5418 Å (Cu Kα).
Intensities are scaled so that the largest is 100.

Principal peaks in the range 2θ from 10° to 90°, by intensity:
2θ (°)	d [Å]	I/Imax
32.86	2.726	100.0
33.32	2.689	27.8
32.70	2.739	20.4
67.83	1.382	18.0
53.41	1.715	17.6
57.92	1.592	14.8
57.54	1.602	13.4
86.08	1.130	11.3

Structural model:
a b c (Å): 9.610 9.610 10.913
angles (deg): 90.00 90.00 120.00
Sites, in units of the cell vectors:
Ho 0.000 0.000 0.000
Ho 0.000 0.000 0.500
Ho 0.113 0.226 0.250
Ho 0.113 0.887 0.250
Ho 0.226 0.113 0.750
Ho 0.774 0.887 0.250
Ho 0.887 0.113 0.750
Ho 0.887 0.774 0.750
Er 0.074 0.537 0.250
Er 0.210 0.420 0.532
Er 0.210 0.420 0.968
Er 0.210 0.790 0.532
Er 0.210 0.790 0.968
Er 0.420 0.210 0.032
Er 0.420 0.210 0.468
Er 0.463 0.537 0.250
Er 0.463 0.926 0.250
Er 0.537 0.074 0.750
Er 0.537 0.463 0.750
Er 0.580 0.790 0.532
Er 0.580 0.790 0.968
Er 0.790 0.210 0.032
Er 0.790 0.210 0.468
Er 0.790 0.580 0.032
Er 0.790 0.580 0.468
Er 0.926 0.463 0.750
Pu 0.333 0.667 0.750
Pu 0.667 0.333 0.250



[2]
The following is a computed PXRD pattern of YPtPb2. It was derived from DFT lattice parameters and positions (GGA-PBE), using λ = 1.5418 Å (Cu Kα).
Intensities are scaled so that the largest is 100.

Principal peaks in the range 2θ from 10° to 90°, by intensity:
2θ (°)	d [Å]	I/Imax
32.83	2.728	100.0
34.31	2.614	82.3
46.15	1.967	45.8
23.49	3.787	40.2
39.52	2.280	36.0
29.71	3.007	35.9
58.75	1.572	35.9
37.65	2.389	29.1

Structural model:
a b c (Å): 3.934 3.933 7.265
angles (deg): 90.00 105.67 90.00
Sites, in units of the cell vectors:
Y 0.000 0.000 0.000
Pt 0.567 0.500 0.132
Pb 0.351 0.500 0.703
Pb 0.718 0.000 0.439



[3]
The following is a computed PXRD pattern of TmZr11. It was derived from DFT lattice parameters and positions (GGA-PBE), using λ = 1.5418 Å (Cu Kα).
Intensities are scaled so that the largest is 100.

Principal peaks in the range 2θ from 10° to 90°, by intensity:
2θ (°)	d [Å]	I/Imax
35.21	2.549	100.0
34.83	2.576	59.2
33.27	2.693	33.1
69.85	1.347	25.8
50.36	1.812	19.9
62.94	1.477	19.7
41.87	2.158	18.0
63.18	1.472	16.7

Structural model:
a b c (Å): 10.196 10.196 3.172
angles (deg): 90.00 90.00 120.00
Sites, in units of the cell vectors:
Tm 0.000 0.000 0.000
Zr 0.000 0.500 0.000
Zr 0.174 0.348 0.500
Zr 0.174 0.826 0.500
Zr 0.333 0.667 0.000
Zr 0.348 0.174 0.500
Zr 0.500 0.000 0.000
Zr 0.500 0.500 0.000
Zr 0.652 0.826 0.500
Zr 0.667 0.333 0.000
Zr 0.826 0.174 0.500
Zr 0.826 0.652 0.500



[4]
The following is a computed PXRD pattern of K6NaCl8. It was derived from DFT lattice parameters and positions (GGA-PBE), using λ = 1.5418 Å (Cu Kα).
Intensities are scaled so that the largest is 100.

Principal peaks in the range 2θ from 10° to 90°, by intensity:
2θ (°)	d [Å]	I/Imax
33.77	2.654	100.0
33.61	2.666	97.7
32.68	2.740	67.3
17.60	5.038	32.5
27.50	3.243	28.7
19.22	4.618	28.6
43.10	2.099	24.9
48.39	1.881	22.5

Structural model:
a b c (Å): 9.236 9.236 6.487
angles (deg): 90.00 90.00 120.00
Sites, in units of the cell vectors:
K 0.000 0.371 0.279
K 0.000 0.629 0.721
K 0.371 0.000 0.279
K 0.371 0.371 0.721
K 0.629 0.000 0.721
K 0.629 0.629 0.279
Na 0.000 0.000 0.000
Cl 0.000 0.281 0.793
Cl 0.000 0.719 0.207
Cl 0.281 0.000 0.793
Cl 0.281 0.281 0.207
Cl 0.333 0.667 0.500
Cl 0.667 0.333 0.500
Cl 0.719 0.000 0.207
Cl 0.719 0.719 0.793



[5]
The following is a computed PXRD pattern of Ca2GeN2. It was derived from DFT lattice parameters and positions (GGA-PBE), using λ = 1.5418 Å (Cu Kα).
Intensities are scaled so that the largest is 100.

Principal peaks in the range 2θ from 10° to 90°, by intensity:
2θ (°)	d [Å]	I/Imax
33.77	2.655	100.0
35.45	2.532	87.8
36.57	2.457	54.9
32.85	2.726	42.2
17.64	5.027	39.1
30.73	2.910	33.1
49.10	1.855	25.3
40.05	2.252	23.7

Structural model:
a b c (Å): 11.242 11.242 5.065
angles (deg): 90.00 90.00 90.00
Sites, in units of the cell vectors:
Ca 0.021 0.350 0.000
Ca 0.075 0.133 0.500
Ca 0.133 0.925 0.000
Ca 0.150 0.479 0.500
Ca 0.350 0.979 0.500
Ca 0.367 0.425 0.000
Ca 0.425 0.633 0.500
Ca 0.479 0.850 0.000
Ca 0.521 0.150 0.000
Ca 0.575 0.367 0.500
Ca 0.633 0.575 0.000
Ca 0.650 0.021 0.500
Ca 0.850 0.521 0.500
Ca 0.867 0.075 0.000
Ca 0.925 0.867 0.500
Ca 0.979 0.650 0.000
Ge 0.156 0.745 0.500
Ge 0.245 0.656 0.000
Ge 0.255 0.156 0.000
Ge 0.344 0.245 0.500
Ge 0.656 0.755 0.500
Ge 0.745 0.844 0.000
Ge 0.755 0.344 0.000
Ge 0.844 0.255 0.500
N 0.009 0.663 0.500
N 0.090 0.136 0.000
N 0.136 0.910 0.500
N 0.163 0.509 0.000
N 0.337 0.009 0.000
N 0.364 0.410 0.500
N 0.410 0.636 0.000
N 0.491 0.163 0.500
N 0.509 0.837 0.500
N 0.590 0.364 0.000
N 0.636 0.590 0.500
N 0.663 0.991 0.000
N 0.837 0.491 0.000
N 0.864 0.090 0.500
N 0.910 0.864 0.000
N 0.991 0.337 0.500



[6]
The following is a computed PXRD pattern of Pr5Al2Ge5. It was derived from DFT lattice parameters and positions (GGA-PBE), using λ = 1.5418 Å (Cu Kα).
Intensities are scaled so that the largest is 100.

Principal peaks in the range 2θ from 10° to 90°, by intensity:
2θ (°)	d [Å]	I/Imax
30.94	2.890	100.0
32.80	2.730	60.1
39.19	2.299	54.7
31.64	2.828	50.2
27.72	3.218	33.7
36.39	2.469	33.3
42.51	2.127	32.7
53.96	1.699	28.9

Structural model:
a b c (Å): 7.963 7.963 11.894
angles (deg): 127.93 127.93 30.98
Sites, in units of the cell vectors:
Pr 0.000 0.000 0.000
Pr 0.319 0.319 0.425
Pr 0.370 0.370 0.170
Pr 0.630 0.630 0.830
Pr 0.681 0.681 0.575
Al 0.382 0.382 0.740
Al 0.618 0.618 0.260
Ge 0.000 0.000 0.500
Ge 0.063 0.063 0.319
Ge 0.294 0.294 0.859
Ge 0.706 0.706 0.141
Ge 0.937 0.937 0.681